Structure and simulated powder XRD pattern of Al6CuNi5 (the PBE geometry in Alexandria; copper Kα).
Neutral-atom scattering factors, no anomalous dispersion.

Most intense lines, 10° ≤ 2θ ≤ 90°, low angle first:
| d_spacing | I/Imax | (hkl) |
| --- | --- | --- |
| 2.911 | 245 | 1 0 1 |
| 2.892 | 120 | 1 0 -2 |
| 2.058 | 505 | 1 2 1 |
| 2.052 | 1000 | 0 0 3 |
| 1.677 | 87 | 0 2 3 |
| 1.456 | 155 | 2 0 2 |
| 1.446 | 76 | 2 0 -4 |
| 1.302 | 33 | 1 4 1 |
| 1.187 | 303 | 3 2 0 |
| 1.183 | 150 | 3 2 -3 |

Structural model:
Cell: 4.102 5.823 6.476 Å, 90.00 108.10 90.00°
Space group P2/m (No. 10)
One atom of each set of equivalent atoms:
Al (0.000, 0.245, 0.000)
Al (0.331, 0.247, 0.662)
Cu (0.500, 0.500, 0.000)
Ni (0.166, 0.000, 0.331)
Ni (0.168, 0.500, 0.334)
Ni (0.500, 0.000, 0.000)